(1)
Calculated powder diffractogram of CuSiO3 for copper Kα, from a PBE-relaxed structure.
No peak broadening, texture or thermal motion is included.

Main lines, by intensity (10 to 80 degrees two-theta):
12.11 deg, I = 100; 21.79 deg, I = 35; 18.05 deg, I = 32; 34.37 deg, I = 31; 27.86 deg, I = 20; 32.90 deg, I = 19; 42.57 deg, I = 18; 13.34 deg, I = 15; 36.70 deg, I = 13; 39.39 deg, I = 13

Cell and atoms:
```
data_CuSiO3
_cell_length_a 7.7969
_cell_length_b 8.8311
_cell_length_c 8.8316
_cell_angle_alpha 111.86
_cell_angle_beta 106.99
_cell_angle_gamma 107.06
_symmetry_space_group_name_H-M 'P -1'
_symmetry_Int_Tables_number 2
loop_
_symmetry_equiv_pos_as_xyz
'x,y,z'
'-x,-y,-z'
loop_
_atom_site_label
_atom_site_fract_x
_atom_site_fract_y
_atom_site_fract_z
Cu1 0.0328 0.1933 0.0826
Cu2 0.1585 0.6134 0.6931
Cu3 0.4529 0.4194 0.1121
Si1 0.2865 0.6092 0.3669
Si2 0.3234 0.7428 0.1097
Si3 0.4193 0.1341 0.2422
O1 0.1260 0.5630 0.4484
O2 0.1337 0.6827 0.9191
O3 0.1777 0.0526 0.1140
O4 0.2354 0.7098 0.2485
O5 0.2841 0.4178 0.2334
O6 0.4390 0.6161 0.0644
O7 0.4488 0.7329 0.8153
O8 0.4742 0.9621 0.2083
O9 0.4865 0.2533 0.4615
```



(2)
Calculated powder diffractogram of Zn2Te3O8 for copper Kα, from a PBE-relaxed structure.
No peak broadening, texture or thermal motion is included.

Main lines, by intensity (10 to 80 degrees two-theta):
29.94 deg, I = 100; 27.06 deg, I = 84; 18.14 deg, I = 50; 31.03 deg, I = 36; 22.17 deg, I = 32; 29.66 deg, I = 29; 34.27 deg, I = 27; 38.97 deg, I = 19; 56.19 deg, I = 18; 19.17 deg, I = 16

Cell and atoms:
```
data_Zn2Te3O8
_cell_length_a 12.8455
_cell_length_b 5.3009
_cell_length_c 12.0555
_cell_angle_alpha 90.00
_cell_angle_beta 99.66
_cell_angle_gamma 90.00
_symmetry_space_group_name_H-M 'C 1 2/c 1'
_symmetry_Int_Tables_number 15
loop_
_symmetry_equiv_pos_as_xyz
'x,y,z'
'-x,-y,-z'
'-x,y,-z+1/2'
'x,-y,z+1/2'
'x+1/2,y+1/2,z'
'-x+1/2,-y+1/2,-z'
'-x+1/2,y+1/2,-z+1/2'
'x+1/2,-y+1/2,z+1/2'
loop_
_atom_site_label
_atom_site_fract_x
_atom_site_fract_y
_atom_site_fract_z
Zn1 0.2272 0.2212 0.3405
Te1 0.0000 0.1264 0.7500
Te2 0.1380 0.2012 0.0537
O1 0.0814 0.0931 0.3557
O2 0.1143 0.1014 0.6422
O3 0.1955 0.3909 0.1851
O4 0.2334 0.4801 0.9600
```